Diffraction record for TlGa2NiF8. The X-ray powder pattern is simulated, not measured: it uses the GGA+U geometry in Alexandria and Cu Kα (λ = 1.5418 Å).

Top 10 peaks for 10° ≤ 2θ ≤ 90°, most intense first:
d (Å)  I/Imax
3.649  100
2.688  42
1.686  28
2.485  23
2.164  22
2.542  16
1.583  15
1.552  15
4.567  14
2.216  13

Cell and atoms:
```
TlGa2NiF8
1.0
2.6877 1.5517 7.8372
-2.6877 1.5517 7.8372
0.0000 -3.1035 7.8372
Tl Ga Ni F
1 2 1 8
direct
0.0000 0.0000 0.0000
0.2351 0.2351 0.2351
0.7649 0.7649 0.7649
0.5000 0.5000 0.5000
0.1349 0.4560 0.7595
0.2405 0.8651 0.5440
0.3128 0.3128 0.3128
0.4560 0.7595 0.1349
0.5440 0.2405 0.8651
0.6872 0.6872 0.6872
0.7595 0.1349 0.4560
0.8651 0.5440 0.2405
```